Structure and calculated XRD peak list of MnCdO2 (the GGA+U geometry in Alexandria; Cu Kα).

Top 8 peaks for 2θ from 5° to 70°, low angle first:
d/Å  intensity  hkl
4.977  24  1 1 0
2.686  100  2 0 0
2.681  33  2 0 -2
2.327  96  2 4 -1
2.321  47  0 0 2
1.646  59  0 8 0
1.641  29  2 4 -3
1.402  22  2 0 2

Structure:
```
data_MnCdO2
_chemical_formula_sum 'Mn8 Cd8 O16'
_cell_length_a 6.5830
_cell_length_b 13.1652
_cell_length_c 5.6812
_cell_angle_alpha 90.00
_cell_angle_beta 125.21
_cell_angle_gamma 90.00
_symmetry_space_group_name_H-M 'C 1 2/c 1'
_symmetry_Int_Tables_number 15
_symmetry_space_group_name_Hall '-C 2yc'
loop_
_atom_site_label
_atom_site_fract_x
_atom_site_fract_y
_atom_site_fract_z
Mn1 0.0000 0.0629 0.2500
Mn2 0.0000 0.1879 0.7500
Cd1 0.0000 0.3135 0.2500
Cd2 0.0000 0.4385 0.7500
O1 0.2273 0.0625 0.7298
O2 0.2397 0.1875 0.2296
```